# 1
This entry pairs a crystal structure of MgGa with its computed PXRD pattern. Radiation: a wavelength of 1.5418 Å. Structure: a DFT-relaxed cell (GGA-PBE, the Materials Project).
Kinematic intensities with the Lorentz-polarization factor, no thermal factor.

Principal peaks in the range 2θ = 10–90°, by angle:
d [Å], I (rel.), hkl
4.405, 77, 2 0 -1
2.966, 28, 2 0 1
2.850, 27, 1 1 0
2.586, 92, 4 0 0
2.558, 46, 1 1 -1
2.351, 54, 0 0 2
2.332, 100, 1 1 1
2.256, 91, 3 1 -1
2.203, 44, 4 0 -2
1.483, 28, 0 2 0
1.467, 32, 3 1 -3
1.458, 21, 5 1 1

Cell and atoms:
abc: 11.173 2.965 5.079
angles: 90.00 112.21 90.00
Space group C2/m (No. 12)
One atom of each set of equivalent atoms:
Mg 0.122 0.000 0.290 (multiplicity 4)
Ga 0.126 0.500 0.789 (multiplicity 4)


# 2
This entry pairs a crystal structure of MgGa5 with its computed PXRD pattern. Radiation: a wavelength of 1.5418 Å. Structure: a DFT-relaxed cell (GGA-PBE, the Materials Project).
Kinematic intensities with the Lorentz-polarization factor, no thermal factor.

Principal peaks in the range 2θ = 10–90°, by angle:
d [Å], I (rel.), hkl
4.276, 5, 1 0 1
3.812, 3, 0 1 2
2.583, 25, 1 1 0
2.427, 27, 0 0 6
2.280, 100, 1 1 3
1.769, 16, 1 1 6
1.491, 17, 3 0 0
1.371, 19, 1 1 9
1.271, 19, 3 0 6
1.248, 14, 2 2 3
1.140, 4, 2 2 6
1.098, 3, 1 1 12

Cell and atoms:
abc: 5.1658 5.1658 14.5599
angles: 90.00 90.00 120.00
Space group R32 (No. 155, hexagonal axes)
One atom of each set of equivalent atoms:
Mg 0.0000 0.0000 0.0000 (multiplicity 3)
Ga 0.0000 0.0000 0.3342 (multiplicity 6)
Ga 0.0000 0.6682 0.5000 (multiplicity 9)


# 3
This entry pairs a crystal structure of MgGa2 with its computed PXRD pattern. Radiation: a wavelength of 1.5418 Å. Structure: a DFT-relaxed cell (GGA-PBE, the Materials Project).
Kinematic intensities with the Lorentz-polarization factor, no thermal factor.

Principal peaks in the range 2θ = 10–90°, by angle:
d [Å], I (rel.), hkl
7.397, 29, 0 0 2
3.698, 5, 0 0 4
2.633, 24, 1 0 0
2.592, 10, 1 0 1
2.466, 26, 0 0 6
2.323, 100, 1 0 3
1.967, 5, 1 0 5
1.800, 15, 1 0 6
1.520, 17, 1 1 0
1.394, 19, 1 0 9
1.294, 19, 1 1 6
1.272, 14, 2 0 3

Cell and atoms:
abc: 3.0403 3.0403 14.7935
angles: 90.00 90.00 120.00
Space group P6_3/mmc (No. 194)
One atom of each set of equivalent atoms:
Mg 0.3333 0.6667 0.2500 (multiplicity 2)
Ga 0.3333 0.6667 0.5826 (multiplicity 4)


# 4
This entry pairs a crystal structure of MgGa3 with its computed PXRD pattern. Radiation: a wavelength of 1.5418 Å. Structure: a DFT-relaxed cell (GGA-PBE, the Materials Project).
Kinematic intensities with the Lorentz-polarization factor, no thermal factor.

Principal peaks in the range 2θ = 10–90°, by angle:
d [Å], I (rel.), hkl
5.111, 7, 1 0 0
3.591, 11, 1 0 1
2.951, 5, 1 1 0
2.556, 23, 2 0 0
2.523, 30, 0 0 2
2.280, 100, 2 0 1
1.804, 5, 2 1 1
1.796, 16, 2 0 2
1.475, 16, 2 2 0
1.405, 20, 2 0 3
1.274, 19, 2 2 2
1.239, 13, 4 0 1

Cell and atoms:
abc: 5.9019 5.9019 5.0463
angles: 90.00 90.00 120.00
Space group P6_3/mmc (No. 194)
One atom of each set of equivalent atoms:
Mg 0.3333 0.6667 0.2500 (multiplicity 2)
Ga 0.1632 0.3265 0.7500 (multiplicity 6)